(1)
# HfTiS2
Simulated XRD peak list, λ = 1.5418 Å (Cu Kα). Input: a structure optimized by DFT (GGA-PBE).
Kinematic intensities with the Lorentz-polarization factor, no thermal factor.

Most intense lines, 2θ from 15° to 90°, most intense first:
| 2θ (°) | I/Imax | hkl |
| --- | --- | --- |
| 30.44 | 100 | 1 1 2 |
| 36.55 | 94 | 2 0 0 |
| 41.93 | 89 | 1 1 4 |
| 19.79 | 83 | 1 0 1 |
| 49.81 | 43 | 2 0 4 |
| 69.48 | 33 | 3 1 4 |
| 52.65 | 32 | 2 2 0 |
| 32.63 | 31 | 0 0 4 |
| 63.35 | 30 | 2 2 4 |
| 16.15 | 24 | 0 0 2 |
| 62.04 | 24 | 3 1 2 |
| 74.32 | 21 | 1 1 8 |

a b c (Å): 4.916 4.918 10.976
angles (deg): 90.00 90.00 90.00
Space group Imma (No. 74)
Symmetry-distinct sites (fractional):
1 Hf 0.000 0.250 0.092 x4
2 Ti 0.000 0.250 0.586 x4
3 S 0.000 0.250 0.355 x4
4 S 0.000 0.250 0.853 x4



(2)
# HfTiS3
Simulated XRD peak list, λ = 1.5418 Å (Cu Kα). Input: a structure optimized by DFT (GGA-PBE).
Kinematic intensities with the Lorentz-polarization factor, no thermal factor.

Most intense lines, 2θ from 15° to 90°, most intense first:
| 2θ (°) | I/Imax | hkl |
| --- | --- | --- |
| 28.92 | 100 | 1 1 1 |
| 37.34 | 90 | 1 5 1 |
| 28.48 | 85 | 0 0 2 |
| 40.71 | 84 | 0 6 2 |
| 17.00 | 82 | 0 2 1 |
| 44.39 | 81 | 1 7 1 |
| 50.74 | 56 | 1 1 3 |
| 18.83 | 48 | 0 4 0 |
| 66.78 | 44 | 2 6 2 |
| 23.63 | 37 | 0 4 1 |
| 50.52 | 26 | 2 0 0 |
| 30.07 | 26 | 0 2 2 |

a b c (Å): 3.614 18.846 6.262
angles (deg): 90.00 90.00 90.00
Space group Cmc2_1 (No. 36)
Symmetry-distinct sites (fractional):
1 Hf 0.000 0.166 0.000 x4
2 Ti 0.000 0.326 0.989 x4
3 S 0.000 0.100 0.342 x4
4 S 0.000 0.249 0.662 x4
5 S 0.000 0.403 0.316 x4



(3)
# HfTi3S
Simulated XRD peak list, λ = 1.5418 Å (Cu Kα). Input: a structure optimized by DFT (GGA-PBE).
Kinematic intensities with the Lorentz-polarization factor, no thermal factor.

Most intense lines, 2θ from 15° to 90°, most intense first:
| 2θ (°) | I/Imax | hkl |
| --- | --- | --- |
| 36.77 | 100 | 1 0 2 |
| 38.53 | 50 | 1 2 0 |
| 33.35 | 42 | 0 1 2 |
| 26.90 | 37 | 1 1 -1 |
| 35.56 | 36 | 1 1 -2 |
| 40.63 | 34 | 2 1 -1 |
| 40.34 | 28 | 2 1 0 |
| 44.27 | 24 | 1 0 -3 |
| 24.65 | 22 | 1 1 0 |
| 45.21 | 20 | 2 1 1 |
| 44.87 | 20 | 0 2 2 |
| 22.00 | 17 | 0 1 1 |

a b c (Å): 5.008 5.307 6.327
angles (deg): 90.00 100.07 90.00
Space group P2_1/m (No. 11)
Symmetry-distinct sites (fractional):
1 Hf 0.130 0.250 0.403 x2
2 Ti 0.019 0.750 0.078 x2
3 Ti 0.424 0.507 0.795 x4
4 S 0.313 0.750 0.443 x2



(4)
# Hf8TlS2
Simulated XRD peak list, λ = 1.5418 Å (Cu Kα). Input: a structure optimized by DFT (GGA-PBE).
Kinematic intensities with the Lorentz-polarization factor, no thermal factor.

Most intense lines, 2θ from 15° to 90°, most intense first:
| 2θ (°) | I/Imax | hkl |
| --- | --- | --- |
| 31.85 | 100 | 2 2 -1 |
| 36.39 | 51 | 5 1 0 |
| 46.60 | 44 | 3 3 1 |
| 34.75 | 35 | 0 0 2 |
| 30.71 | 33 | 4 0 -1 |
| 34.06 | 32 | 4 0 1 |
| 33.54 | 27 | 2 2 1 |
| 21.42 | 23 | 1 1 -1 |
| 38.71 | 22 | 5 1 -1 |
| 46.23 | 19 | 2 2 2 |
| 27.62 | 18 | 2 2 0 |
| 35.92 | 18 | 2 0 -2 |

a b c (Å): 13.173 7.428 5.196
angles (deg): 90.00 96.50 90.00
Space group C2/m (No. 12)
Symmetry-distinct sites (fractional):
1 Hf 0.088 0.197 0.203 x8
2 Hf 0.128 0.000 0.713 x4
3 Hf 0.214 0.500 0.745 x4
4 Tl 0.000 0.500 0.500 x2
5 S 0.179 0.500 0.226 x4



(5)
# HfUS3
Simulated XRD peak list, λ = 1.5418 Å (Cu Kα). Input: a structure optimized by DFT (GGA-PBE).
Kinematic intensities with the Lorentz-polarization factor, no thermal factor.

Most intense lines, 2θ from 15° to 90°, most intense first:
| 2θ (°) | I/Imax | hkl |
| --- | --- | --- |
| 24.68 | 100 | 1 1 1 |
| 20.50 | 67 | 0 3 1 |
| 40.23 | 52 | 1 4 2 |
| 28.09 | 51 | 1 4 0 |
| 28.74 | 28 | 0 5 1 |
| 39.80 | 26 | 2 0 0 |
| 45.36 | 21 | 1 8 0 |
| 28.21 | 21 | 0 0 2 |
| 19.92 | 20 | 0 4 0 |
| 36.06 | 20 | 1 2 2 |
| 38.09 | 18 | 0 7 1 |
| 28.51 | 18 | 1 3 1 |

a b c (Å): 4.530 17.825 6.328
angles (deg): 90.00 90.00 90.00
Space group Ama2 (No. 40)
Symmetry-distinct sites (fractional):
1 Hf 0.250 0.079 0.000 x4
2 U 0.250 0.332 0.079 x4
3 S 0.250 0.104 0.375 x4
4 S 0.250 0.207 0.823 x4
5 S 0.250 0.446 0.358 x4



(6)
# HfU2S5
Simulated XRD peak list, λ = 1.5418 Å (Cu Kα). Input: a structure optimized by DFT (GGA-PBE).
Kinematic intensities with the Lorentz-polarization factor, no thermal factor.

Most intense lines, 2θ from 15° to 90°, most intense first:
| 2θ (°) | I/Imax | hkl |
| --- | --- | --- |
| 26.55 | 100 | 3 0 1 |
| 27.29 | 62 | 1 2 1 |
| 27.89 | 55 | 2 2 0 |
| 37.53 | 53 | 2 2 2 |
| 48.07 | 53 | 6 0 0 |
| 24.61 | 47 | 0 0 2 |
| 54.73 | 43 | 3 4 1 |
| 35.39 | 39 | 3 2 1 |
| 46.95 | 29 | 0 4 0 |
| 33.91 | 25 | 0 2 2 |
| 34.85 | 23 | 1 2 2 |
| 22.98 | 20 | 0 2 0 |

a b c (Å): 11.370 7.740 7.236
angles (deg): 90.00 90.00 90.00
Space group Pnma (No. 62)
Symmetry-distinct sites (fractional):
1 Hf 0.005 0.250 0.078 x4
2 U 0.178 0.000 0.535 x8
3 S 0.002 0.250 0.451 x4
4 S 0.088 0.539 0.169 x8
5 S 0.184 0.250 0.840 x4
6 S 0.211 0.750 0.817 x4



(7)
# Y3HfS
Simulated XRD peak list, λ = 1.5418 Å (Cu Kα). Input: a structure optimized by DFT (GGA-PBE).
Kinematic intensities with the Lorentz-polarization factor, no thermal factor.

Most intense lines, 2θ from 15° to 90°, most intense first:
| 2θ (°) | I/Imax | hkl |
| --- | --- | --- |
| 29.71 | 100 | 1 1 1 |
| 34.44 | 68 | 2 0 0 |
| 49.51 | 48 | 2 2 0 |
| 58.81 | 43 | 3 1 1 |
| 82.91 | 21 | 4 2 0 |
| 24.17 | 20 | 1 1 0 |
| 80.37 | 17 | 3 3 1 |
| 61.70 | 16 | 2 2 2 |
| 42.52 | 9 | 2 1 1 |
| 72.62 | 7 | 4 0 0 |
| 67.27 | 5 | 3 2 1 |
| 55.83 | 4 | 3 1 0 |

a b c (Å): 5.208 5.208 5.208
angles (deg): 90.00 90.00 90.00
Space group Pm-3m (No. 221)
Symmetry-distinct sites (fractional):
1 Y 0.000 0.000 0.500 x3
2 Hf 0.500 0.500 0.500 x1
3 S 0.000 0.000 0.000 x1



(8)
# YHfS3
Simulated XRD peak list, λ = 1.5418 Å (Cu Kα). Input: a structure optimized by DFT (GGA-PBE).
Kinematic intensities with the Lorentz-polarization factor, no thermal factor.

Most intense lines, 2θ from 15° to 90°, most intense first:
| 2θ (°) | I/Imax | hkl |
| --- | --- | --- |
| 15.56 | 100 | 1 0 0 |
| 38.95 | 75 | 1 1 2 |
| 27.12 | 47 | 1 1 0 |
| 31.68 | 27 | 1 0 2 |
| 47.93 | 26 | 3 0 0 |
| 42.18 | 18 | 2 0 2 |
| 50.87 | 18 | 2 1 2 |
| 63.40 | 17 | 2 2 2 |
| 83.23 | 15 | 4 1 2 |
| 41.98 | 14 | 2 1 0 |
| 77.24 | 12 | 3 0 4 |
| 31.42 | 12 | 2 0 0 |

a b c (Å): 6.5751 6.5751 6.5062
angles (deg): 90.00 90.00 120.00
Space group P-6c2 (No. 188)
Symmetry-distinct sites (fractional):
1 Y 0.0000 0.0000 0.0000 x2
2 Hf 0.6667 0.3333 0.0000 x2
3 S 0.3523 0.0356 0.2500 x6



(9)
# HfZrS6
Simulated XRD peak list, λ = 1.5418 Å (Cu Kα). Input: a structure optimized by DFT (GGA-PBE).
Kinematic intensities with the Lorentz-polarization factor, no thermal factor.

Most intense lines, 2θ from 15° to 90°, most intense first:
| 2θ (°) | I/Imax | hkl |
| --- | --- | --- |
| 30.76 | 100 | 0 1 2 |
| 20.42 | 56 | 1 0 1 |
| 18.65 | 51 | 1 0 -1 |
| 45.00 | 34 | 2 1 1 |
| 23.85 | 30 | 1 0 -2 |
| 42.65 | 30 | 1 1 3 |
| 39.96 | 27 | 1 1 -3 |
| 37.25 | 24 | 0 1 3 |
| 18.32 | 23 | 0 0 2 |
| 46.93 | 23 | 1 1 -4 |
| 45.57 | 21 | 2 1 -2 |
| 37.15 | 20 | 2 0 1 |

a b c (Å): 5.171 3.635 9.740
angles (deg): 90.00 96.20 90.00
Space group Pm (No. 6)
Symmetry-distinct sites (fractional):
1 Hf 0.000 0.000 0.000 x1
2 Zr 0.558 0.500 0.286 x1
3 S 0.039 0.500 0.191 x1
4 S 0.170 0.500 0.840 x1
5 S 0.390 0.000 0.450 x1
6 S 0.519 0.000 0.091 x1
7 S 0.766 0.500 0.839 x1
8 S 0.792 0.000 0.450 x1



(10)
# Hf3ZrS8
Simulated XRD peak list, λ = 1.5418 Å (Cu Kα). Input: a structure optimized by DFT (GGA-PBE).
Kinematic intensities with the Lorentz-polarization factor, no thermal factor.

Most intense lines, 2θ from 15° to 90°, most intense first:
| 2θ (°) | I/Imax | hkl |
| --- | --- | --- |
| 28.51 | 100 | 4 0 -1 |
| 33.20 | 95 | 2 2 -2 |
| 33.40 | 47 | 4 0 0 |
| 49.86 | 45 | 0 4 0 |
| 41.96 | 38 | 2 2 -3 |
| 45.68 | 35 | 2 2 2 |
| 51.70 | 34 | 6 2 -3 |
| 35.92 | 28 | 2 2 1 |
| 29.55 | 21 | 2 2 0 |
| 42.25 | 18 | 4 0 1 |
| 45.38 | 18 | 4 0 -4 |
| 57.56 | 17 | 2 2 3 |

a b c (Å): 12.669 7.316 8.055
angles (deg): 90.00 122.11 90.00
Space group C2/m (No. 12)
Symmetry-distinct sites (fractional):
1 Hf 0.000 0.000 0.000 x2
2 Hf 0.250 0.250 0.000 x4
3 Zr 0.000 0.500 0.000 x2
4 S 0.012 0.248 0.788 x8
5 S 0.238 0.000 0.211 x4
6 S 0.240 0.500 0.212 x4



(11)
# Hf5Sb9
Simulated XRD peak list, λ = 1.5418 Å (Cu Kα). Input: a structure optimized by DFT (GGA-PBE).
Kinematic intensities with the Lorentz-polarization factor, no thermal factor.

Most intense lines, 2θ from 15° to 90°, most intense first:
| 2θ (°) | I/Imax | hkl |
| --- | --- | --- |
| 38.45 | 100 | 2 1 3 |
| 38.21 | 93 | 1 3 2 |
| 33.62 | 80 | 1 3 1 |
| 45.83 | 58 | 4 2 0 |
| 31.97 | 56 | 1 3 0 |
| 61.32 | 50 | 5 0 3 |
| 24.70 | 38 | 2 1 1 |
| 30.80 | 30 | 0 0 3 |
| 30.51 | 22 | 2 1 2 |
| 57.83 | 21 | 2 1 5 |
| 76.75 | 18 | 3 4 5 |
| 56.24 | 17 | 4 2 3 |

a b c (Å): 8.854 8.854 8.710
angles (deg): 90.00 90.00 90.00
Space group P4/n (No. 85, origin choice 2)
Symmetry-distinct sites (fractional):
1 Hf 0.043 0.644 0.234 x8
2 Hf 0.250 0.250 0.246 x2
3 Sb 0.019 0.170 0.498 x8
4 Sb 0.054 0.653 0.880 x8
5 Sb 0.250 0.250 0.892 x2



(12)
# Hf3ScSb4
Simulated XRD peak list, λ = 1.5418 Å (Cu Kα). Input: a structure optimized by DFT (GGA-PBE).
Kinematic intensities with the Lorentz-polarization factor, no thermal factor.

Most intense lines, 2θ from 15° to 90°, most intense first:
| 2θ (°) | I/Imax | hkl |
| --- | --- | --- |
| 31.17 | 100 | 2 0 0 |
| 22.05 | 34 | 0 2 1 |
| 44.65 | 32 | 2 3 1 |
| 36.27 | 32 | 0 3 2 |
| 48.58 | 28 | 2 3 2 |
| 31.73 | 24 | 0 0 3 |
| 21.01 | 23 | 0 0 2 |
| 33.24 | 20 | 0 1 3 |
| 45.10 | 19 | 2 0 3 |
| 46.24 | 16 | 2 1 3 |
| 38.54 | 16 | 2 2 1 |
| 69.77 | 12 | 0 2 6 |

a b c (Å): 5.733 9.168 8.459
angles (deg): 90.00 90.00 90.00
Space group Pmmn (No. 59, origin choice 2)
Symmetry-distinct sites (fractional):
1 Hf 0.250 0.055 0.150 x4
2 Hf 0.250 0.250 0.771 x2
3 Sc 0.250 0.750 0.579 x2
4 Sb 0.250 0.250 0.428 x2
5 Sb 0.250 0.557 0.838 x4
6 Sb 0.250 0.750 0.235 x2